[1]
ZrGa3Fe: computed X-ray powder pattern (CuKα), based on the GGA-PBE geometry in Alexandria.
No peak broadening, texture or thermal motion is included.

Structure:
```
ZrGa3Fe
1.0
4.047 0.000 0.000
0.000 6.392 0.000
0.000 0.000 6.479
Zr Ga Fe
2 6 2
Direct
0.250 0.250 0.243
0.750 0.750 0.757
0.250 0.050 0.824
0.250 0.450 0.824
0.250 0.750 0.430
0.750 0.250 0.570
0.750 0.550 0.176
0.750 0.950 0.176
0.250 0.750 0.059
0.750 0.250 0.941
```

Main lines, by angle (15° ≤ 2θ ≤ 90°):
Position (°2θ), I (rel.)
27.92, 11.0
35.50, 16.0
38.27, 70.9
38.49, 100.0
44.27, 22.8
44.79, 46.2
64.80, 13.8
78.35, 11.6


[2]
CsI2: computed X-ray powder pattern (CuKα), based on the GGA-PBE geometry in Alexandria.
No peak broadening, texture or thermal motion is included.

Structure:
```
CsI2
1.0
6.022 0.000 0.000
0.000 5.250 0.000
-1.352 0.000 11.277
Cs I
2 4
Direct
0.000 0.000 0.000
0.439 0.000 0.465
0.225 0.500 0.230
0.496 0.500 0.958
0.719 0.500 0.733
0.943 0.500 0.507
```

Main lines, by angle (15° ≤ 2θ ≤ 90°):
Position (°2θ), I (rel.)
15.72, 14.7
15.93, 18.0
24.48, 100.0
31.56, 46.6
31.74, 21.6
32.18, 21.9
34.17, 25.0
35.63, 16.9


[3]
MoOs6Ru2: computed X-ray powder pattern (CuKα), based on the GGA-PBE geometry in Alexandria.
No peak broadening, texture or thermal motion is included.

Structure:
```
MoOs6Ru2
1.0
-4.206 4.233 3.813
4.206 -4.233 3.813
4.206 4.233 -3.813
Mo Os Ru
2 12 4
Direct
0.250 0.250 0.000
0.750 0.750 0.000
0.030 0.530 0.196
0.074 0.212 0.286
0.166 0.970 0.500
0.334 0.834 0.804
0.426 0.712 0.138
0.470 0.666 0.500
0.530 0.334 0.500
0.574 0.288 0.862
0.666 0.166 0.196
0.834 0.030 0.500
0.926 0.788 0.714
0.970 0.470 0.804
0.208 0.926 0.134
0.292 0.426 0.718
0.708 0.574 0.282
0.792 0.074 0.866
```

Main lines, by angle (15° ≤ 2θ ≤ 90°):
Position (°2θ), I (rel.)
21.12, 18.8
38.31, 27.6
40.31, 34.2
41.22, 25.5
41.37, 35.9
42.89, 100.0
45.78, 27.7
46.03, 18.7


[4]
LiW3: computed X-ray powder pattern (CuKα), based on the GGA-PBE geometry in Alexandria.
No peak broadening, texture or thermal motion is included.

Structure:
```
LiW3
1.0
3.118 0.000 0.000
0.000 4.438 0.000
0.000 0.000 9.308
Li W
2 6
Direct
0.000 0.000 0.000
0.500 0.500 0.000
0.000 0.000 0.500
0.000 0.500 0.257
0.000 0.500 0.743
0.500 0.000 0.257
0.500 0.000 0.743
0.500 0.500 0.500
```

Main lines, by angle (15° ≤ 2θ ≤ 90°):
Position (°2θ), I (rel.)
19.07, 16.8
38.69, 27.6
40.31, 100.0
40.66, 24.5
57.38, 17.8
71.12, 18.4
73.76, 17.2
87.13, 11.4


[5]
Ho2Ti2Ge2C: computed X-ray powder pattern (CuKα), based on the GGA-PBE geometry in Alexandria.
No peak broadening, texture or thermal motion is included.

Structure:
```
Ho2Ti2Ge2C
1.0
4.164 0.000 0.000
0.000 4.164 0.000
0.000 0.000 15.026
Ho Ti Ge C
4 4 4 2
Direct
0.000 0.000 0.166
0.000 0.000 0.834
0.500 0.500 0.334
0.500 0.500 0.666
0.000 0.500 0.000
0.000 0.500 0.500
0.500 0.000 0.000
0.500 0.000 0.500
0.000 0.000 0.372
0.000 0.000 0.628
0.500 0.500 0.128
0.500 0.500 0.872
0.000 0.000 0.000
0.500 0.500 0.500
```

Main lines, by angle (15° ≤ 2θ ≤ 90°):
Position (°2θ), I (rel.)
27.86, 60.2
30.36, 91.8
32.66, 61.6
35.86, 38.2
36.89, 49.4
38.86, 100.0
43.46, 75.2
76.67, 54.2


[6]
Tb3Al3NiPd2: computed X-ray powder pattern (CuKα), based on the GGA-PBE geometry in Alexandria.
No peak broadening, texture or thermal motion is included.

Structure:
```
Tb3Al3NiPd2
1.0
7.066 0.000 0.000
-3.533 6.119 0.000
0.000 0.000 4.078
Tb Al Ni Pd
3 3 1 2
Direct
0.000 0.592 0.000
0.408 0.408 0.000
0.592 0.000 0.000
0.000 0.228 0.500
0.228 0.000 0.500
0.772 0.772 0.500
0.000 0.000 0.000
0.333 0.667 0.500
0.667 0.333 0.500
```

Main lines, by angle (15° ≤ 2θ ≤ 90°):
Position (°2θ), I (rel.)
25.21, 32.9
33.56, 100.0
36.72, 75.5
38.94, 24.3
44.42, 45.0
45.06, 18.4
54.03, 23.7
58.94, 23.6


[7]
Dy12Tl5In2: computed X-ray powder pattern (CuKα), based on the GGA-PBE geometry in Alexandria.
No peak broadening, texture or thermal motion is included.

Structure:
```
Dy12Tl5In2
1.0
8.625 -3.627 0.000
8.625 3.627 0.000
-1.175 0.000 9.177
Dy Tl In
12 5 2
Direct
0.008 0.008 0.189
0.095 0.604 0.996
0.097 0.579 0.588
0.396 0.905 0.004
0.421 0.903 0.412
0.458 0.458 0.302
0.542 0.542 0.698
0.579 0.097 0.588
0.604 0.095 0.996
0.903 0.421 0.412
0.905 0.396 0.004
0.992 0.992 0.811
0.194 0.194 0.730
0.272 0.272 0.247
0.500 0.500 0.000
0.728 0.728 0.753
0.806 0.806 0.270
0.185 0.815 0.500
0.815 0.185 0.500
```

Main lines, by angle (15° ≤ 2θ ≤ 90°):
Position (°2θ), I (rel.)
28.90, 28.8
30.32, 21.5
31.42, 100.0
31.56, 27.4
32.35, 87.0
33.04, 27.6
33.79, 29.6
50.31, 17.9


[8]
PmDy5Y3: computed X-ray powder pattern (CuKα), based on the GGA-PBE geometry in Alexandria.
No peak broadening, texture or thermal motion is included.

Structure:
```
PmDy5Y3
1.0
9.142 -3.163 0.000
9.142 3.163 0.000
-4.234 0.000 10.521
Pm Dy Y
2 10 6
Direct
0.131 0.869 0.750
0.869 0.131 0.250
0.010 0.650 0.128
0.117 0.543 0.789
0.350 0.990 0.372
0.397 0.603 0.250
0.457 0.883 0.711
0.543 0.117 0.289
0.603 0.397 0.750
0.650 0.010 0.628
0.883 0.457 0.211
0.990 0.350 0.872
0.000 0.000 0.000
0.000 0.000 0.500
0.149 0.531 0.485
0.469 0.851 0.015
0.531 0.149 0.985
0.851 0.469 0.515
```

Main lines, by angle (15° ≤ 2θ ≤ 90°):
Position (°2θ), I (rel.)
28.21, 56.6
30.17, 35.3
31.28, 71.0
31.65, 100.0
32.33, 69.1
32.44, 54.5
34.49, 40.5
57.49, 36.8


[9]
Sr4CuIr2O9: computed X-ray powder pattern (CuKα), based on the GGA-PBE geometry in Alexandria.
No peak broadening, texture or thermal motion is included.

Structure:
```
Sr4CuIr2O9
1.0
8.056 0.000 0.000
0.007 9.802 0.000
0.032 4.868 8.571
Sr Cu Ir O
12 3 6 27
Direct
0.000 0.000 0.000
0.000 0.328 0.326
0.002 0.684 0.642
0.246 0.977 0.660
0.257 0.333 0.015
0.258 0.689 0.310
0.495 0.361 0.332
0.500 0.645 0.680
0.505 0.995 0.975
0.746 0.310 0.987
0.747 0.013 0.646
0.750 0.675 0.345
0.268 0.275 0.713
0.500 0.003 0.385
0.733 0.610 0.054
0.080 0.671 0.985
0.157 0.008 0.315
0.391 0.669 0.987
0.611 0.341 0.654
0.844 0.008 0.317
0.922 0.345 0.650
0.000 0.173 0.150
0.002 0.846 0.308
0.048 0.524 0.496
0.078 0.318 0.818
0.083 0.203 0.627
0.235 0.509 0.173
0.238 0.644 0.829
0.238 0.850 0.963
0.291 0.008 0.148
0.308 0.845 0.480
0.313 0.161 0.328
0.455 0.186 0.641
0.458 0.315 0.829
0.474 0.520 0.497
0.527 0.826 0.810
0.544 0.684 0.142
0.545 0.493 0.014
0.687 0.162 0.326
0.692 0.849 0.485
0.711 0.999 0.153
0.763 0.365 0.472
0.764 0.500 0.678
0.766 0.156 0.811
0.920 0.693 0.127
0.922 0.501 0.014
0.956 0.826 0.806
0.999 0.015 0.482
```

Main lines, by angle (15° ≤ 2θ ≤ 90°):
Position (°2θ), I (rel.)
15.11, 49.2
17.97, 100.0
18.10, 55.1
28.58, 49.6
31.31, 77.2
31.49, 78.2
31.59, 79.3
43.94, 43.6


[10]
NiSn2Pt: computed X-ray powder pattern (CuKα), based on the GGA-PBE geometry in Alexandria.
No peak broadening, texture or thermal motion is included.

Structure:
```
NiSn2Pt
1.0
4.400 0.000 0.000
0.000 4.400 0.000
0.000 0.000 16.982
Ni Sn Pt
4 8 4
Direct
0.000 0.000 0.000
0.000 0.500 0.250
0.500 0.000 0.750
0.500 0.500 0.500
0.234 0.250 0.125
0.250 0.734 0.375
0.250 0.766 0.875
0.266 0.250 0.625
0.734 0.750 0.625
0.750 0.234 0.875
0.750 0.266 0.375
0.766 0.750 0.125
0.000 0.000 0.500
0.000 0.500 0.750
0.500 0.000 0.250
0.500 0.500 0.000
```

Main lines, by angle (15° ≤ 2θ ≤ 90°):
Position (°2θ), I (rel.)
30.60, 100.0
42.59, 22.6
43.21, 39.4
46.49, 69.3
59.41, 15.2
68.31, 20.1
75.81, 16.2
76.25, 14.9